The following is a simulated XRD peak list of Li4Ni3O2F6. It was derived from a structure optimized by DFT (PBE+U), using a wavelength of 1.5418 Å.

```
data_Li4Ni3O2F6
_chemical_formula_sum 'Li4 Ni3 O2 F6'
_space_group_name_H-M_alt 'P -1'
_space_group_IT_number 2
_cell_length_a 5.132
_cell_length_b 5.153
_cell_length_c 5.897
_cell_angle_alpha 89.51
_cell_angle_beta 72.86
_cell_angle_gamma 79.97
loop_
_space_group_symop_operation_xyz
'x,y,z'
'-x,-y,-z'
loop_
_atom_site_label
_atom_site_type_symbol
_atom_site_fract_x
_atom_site_fract_y
_atom_site_fract_z
Li1 Li 0.011 0.237 0.363
Li2 Li 0.014 0.271 0.877
Ni1 Ni 0.497 0.499 0.239
Ni2 Ni 0.500 0.000 0.000
O1 O 0.270 0.360 0.058
F1 F 0.224 0.865 0.308
F2 F 0.241 0.869 0.824
F3 F 0.249 0.405 0.565
```

Peak list (6 most intense, 10° ≤ 2θ ≤ 90°, in order of rising 2θ)
2theta	I/Imax	(hkl)
15.74	28	0 0 1
18.39	100	1 0 0
35.43	41	0 2 0
43.03	47	2 1 2
43.20	47	1 -2 0
43.49	48	1 1 -2